No. 1
Structure and computed powder diffractogram of SmGeI5 (a crystal structure in Alexandria, relaxed with GGA-PBE; Cu Kα, 1.54184 Å).
No peak broadening, texture or thermal motion is included.

Most intense lines, 10° ≤ 2θ ≤ 90°, by angle:
10.9°, I = 100
25.7°, I = 48
27.8°, I = 41
27.9°, I = 35
28.2°, I = 37
29.4°, I = 35
31.9°, I = 24
36.1°, I = 30
40.0°, I = 25
40.7°, I = 32

Structure:
```
SmGeI5
1.0
9.0746 0.0000 0.0000
0.0000 4.4326 0.0000
-1.5168 0.0000 15.1759
Sm Ge I
2 2 10
direct
0.1045 0.2500 0.1494
0.8955 0.7500 0.8506
0.3900 0.7500 0.3861
0.6100 0.2500 0.6139
0.1043 0.2500 0.7912
0.1613 0.2500 0.3713
0.1841 0.7500 0.0118
0.3676 0.7500 0.5691
0.4343 0.2500 0.1910
0.5657 0.7500 0.8090
0.6324 0.2500 0.4309
0.8159 0.2500 0.9882
0.8387 0.7500 0.6287
0.8957 0.7500 0.2088
```


No. 2
Structure and computed powder diffractogram of SnGe3I8 (a crystal structure in Alexandria, relaxed with GGA-PBE; Cu Kα, 1.54184 Å).
No peak broadening, texture or thermal motion is included.

Most intense lines, 10° ≤ 2θ ≤ 90°, by angle:
11.5°, I = 53
23.0°, I = 18
24.6°, I = 16
24.8°, I = 33
28.1°, I = 100
28.4°, I = 49
38.9°, I = 19
39.3°, I = 38
41.3°, I = 53
50.9°, I = 19

Structure:
```
SnGe3I8
1.0
7.5708 -4.3725 0.0000
7.5708 4.3725 0.0000
-5.1673 0.0000 7.7220
Sn Ge I
1 3 8
direct
0.0000 0.0000 0.0000
0.0000 0.5000 0.0000
0.5000 0.0000 0.0000
0.5000 0.5000 0.0000
0.2530 0.2530 0.2309
0.2530 0.7304 0.2310
0.2574 0.2574 0.7776
0.2696 0.7470 0.7690
0.7304 0.2530 0.2310
0.7426 0.7426 0.2224
0.7470 0.2696 0.7690
0.7470 0.7470 0.7691
```


No. 3
Structure and computed powder diffractogram of SnGe5I12 (a crystal structure in Alexandria, relaxed with GGA-PBE; Cu Kα, 1.54184 Å).
No peak broadening, texture or thermal motion is included.

Most intense lines, 10° ≤ 2θ ≤ 90°, by angle:
11.5°, I = 48
23.1°, I = 18
24.4°, I = 26
26.4°, I = 100
29.5°, I = 62
33.3°, I = 27
37.7°, I = 19
42.1°, I = 42
42.7°, I = 27
54.3°, I = 17

Structure:
```
SnGe5I12
1.0
3.7565 -6.5137 0.0000
3.7565 6.5137 0.0000
-0.0219 0.0000 15.3993
Sn Ge I
1 5 12
direct
0.0000 0.0000 0.0000
0.1666 0.8334 0.5000
0.3333 0.6667 0.0000
0.5000 0.5000 0.5000
0.6667 0.3333 0.0000
0.8334 0.1666 0.5000
0.0004 0.3503 0.1168
0.9996 0.6497 0.8832
0.1661 0.1661 0.3877
0.1672 0.5004 0.6122
0.3503 0.0004 0.1168
0.3501 0.3501 0.8833
0.5004 0.1672 0.6122
0.4996 0.8328 0.3878
0.6497 0.9996 0.8832
0.6499 0.6499 0.1167
0.8328 0.4996 0.3878
0.8339 0.8339 0.6123
```


No. 4
Structure and computed powder diffractogram of Sr2GeI6 (a crystal structure in Alexandria, relaxed with GGA-PBE; Cu Kα, 1.54184 Å).
No peak broadening, texture or thermal motion is included.

Most intense lines, 10° ≤ 2θ ≤ 90°, by angle:
13.1°, I = 24
24.5°, I = 14
25.0°, I = 100
33.0°, I = 38
38.1°, I = 32
39.5°, I = 11
43.5°, I = 24
45.9°, I = 9
46.1°, I = 13
64.8°, I = 9

Structure:
```
Sr2GeI6
1.0
4.0896 2.3611 7.2540
-4.0896 2.3611 7.2540
0.0000 -4.7222 7.2540
Sr Ge I
2 1 6
direct
0.1883 0.1883 0.1883
0.8117 0.8117 0.8117
0.0000 0.0000 0.0000
0.1063 0.7733 0.3705
0.2267 0.6295 0.8937
0.3705 0.1063 0.7733
0.6295 0.8937 0.2267
0.7733 0.3705 0.1063
0.8937 0.2267 0.6295
```


No. 5
Structure and computed powder diffractogram of Ge2Te4I3 (a crystal structure in Alexandria, relaxed with GGA-PBE; Cu Kα, 1.54184 Å).
No peak broadening, texture or thermal motion is included.

Most intense lines, 10° ≤ 2θ ≤ 90°, by angle:
22.6°, I = 36
23.1°, I = 100
24.9°, I = 22
25.0°, I = 18
30.4°, I = 28
30.8°, I = 18
33.1°, I = 34
34.5°, I = 27
44.5°, I = 21
48.0°, I = 26

Structure:
```
Ge2Te4I3
1.0
6.9994 -6.0131 0.0000
6.9994 6.0131 0.0000
-1.0360 0.0000 8.8245
Ge Te I
4 8 6
direct
0.1017 0.3350 0.4661
0.3350 0.1017 0.9661
0.6650 0.8983 0.0339
0.8983 0.6650 0.5339
0.1248 0.2463 0.1495
0.1873 0.5900 0.5481
0.2463 0.1248 0.6495
0.4100 0.8127 0.9519
0.5900 0.1873 0.0481
0.7537 0.8752 0.3505
0.8127 0.4100 0.4519
0.8752 0.7537 0.8505
0.0456 0.9544 0.2500
0.2506 0.4918 0.0800
0.4918 0.2506 0.5800
0.5082 0.7494 0.4200
0.7494 0.5082 0.9200
0.9544 0.0456 0.7500
```


No. 6
Structure and computed powder diffractogram of GeTeI (a crystal structure in Alexandria, relaxed with GGA-PBE; Cu Kα, 1.54184 Å).
No peak broadening, texture or thermal motion is included.

Most intense lines, 10° ≤ 2θ ≤ 90°, by angle:
19.5°, I = 44
25.0°, I = 62
26.1°, I = 69
26.3°, I = 100
27.2°, I = 52
31.5°, I = 32
32.4°, I = 42
35.1°, I = 57
38.6°, I = 31
44.3°, I = 33

Structure:
```
GeTeI
1.0
4.5273 0.0000 0.0000
-0.0001 5.1090 0.0000
-0.3952 -0.0122 9.9431
Ge Te I
2 2 2
direct
0.0455 0.2497 0.3675
0.9545 0.7503 0.6325
0.3119 0.7498 0.4120
0.6881 0.2502 0.5880
0.3171 0.7505 0.8474
0.6829 0.2495 0.1526
```


No. 7
Structure and computed powder diffractogram of Tl2GeI6 (a crystal structure in Alexandria, relaxed with GGA-PBE; Cu Kα, 1.54184 Å).
No peak broadening, texture or thermal motion is included.

Most intense lines, 10° ≤ 2θ ≤ 90°, by angle:
16.5°, I = 88
25.9°, I = 100
26.2°, I = 28
33.0°, I = 91
33.3°, I = 56
40.2°, I = 23
40.9°, I = 62
42.6°, I = 24
53.2°, I = 28
69.8°, I = 27

Structure:
```
Tl2GeI6
1.0
7.6059 0.0000 0.0000
0.0000 7.6059 0.0000
0.0000 0.0000 13.4646
Tl Ge I
4 2 12
direct
0.0000 0.0000 0.1618
0.0000 0.0000 0.8382
0.5000 0.5000 0.3382
0.5000 0.5000 0.6618
0.0000 0.0000 0.5000
0.5000 0.5000 0.0000
0.1953 0.1953 0.3448
0.1953 0.1953 0.6552
0.2280 0.2280 0.0000
0.2720 0.7280 0.5000
0.3047 0.6953 0.1552
0.3047 0.6953 0.8448
0.6953 0.3047 0.1552
0.6953 0.3047 0.8448
0.7280 0.2720 0.5000
0.7720 0.7720 0.0000
0.8047 0.8047 0.3448
0.8047 0.8047 0.6552
```


No. 8
Structure and computed powder diffractogram of Tl2GeI5 (a crystal structure in Alexandria, relaxed with GGA-PBE; Cu Kα, 1.54184 Å).
No peak broadening, texture or thermal motion is included.

Most intense lines, 10° ≤ 2θ ≤ 90°, by angle:
13.1°, I = 22
14.8°, I = 31
21.3°, I = 41
26.4°, I = 100
30.9°, I = 63
33.7°, I = 20
37.2°, I = 33
37.9°, I = 19
44.3°, I = 23
52.3°, I = 30

Structure:
```
Tl2GeI5
1.0
-4.0910 4.0910 5.9967
4.0910 -4.0910 5.9967
4.0910 4.0910 -5.9967
Tl Ge I
2 1 5
direct
0.0000 0.5000 0.5000
0.5000 0.0000 0.5000
0.3020 0.3020 0.0000
0.0810 0.0810 0.0000
0.0970 0.0970 0.5100
0.0970 0.5870 0.0000
0.5870 0.0970 0.0000
0.5870 0.5870 0.4900
```